Record 1
Computed XRD peak list
Compound: Sm8SnSb5
Radiation: Cu Kα (weighted mean of Kα1 and Kα2)
Structure: a DFT-relaxed cell (GGA-PBE, Alexandria)

Atomic structure:
a b c (Å): 9.4086 9.4086 9.4097
angles (deg): 90.00 90.00 90.00
Space group I-4 (No. 82)
Symmetry-distinct sites (fractional):
1 Sm 0.0705 0.1783 0.3043 [8 per cell]
2 Sm 0.0710 0.3217 0.9464 [8 per cell]
3 Sn 0.0000 0.5000 0.2500 [2 per cell]
4 Sb 0.0000 0.0000 0.0000 [2 per cell]
5 Sb 0.1250 0.2504 0.6251 [8 per cell]

The 10 most intense peaks (2θ = 10–80°), low angle first:
| d [Å] | Rel. int. |
| --- | --- |
| 2.975 | 100 |
| 2.515 | 66 |
| 2.104 | 10 |
| 2.006 | 9 |
| 1.921 | 17 |
| 1.845 | 24 |
| 1.526 | 25 |
| 1.488 | 12 |
| 1.452 | 14 |
| 1.280 | 15 |


Record 2
Computed XRD peak list
Compound: PmCdBr
Radiation: Cu Kα (weighted mean of Kα1 and Kα2)
Structure: a DFT-relaxed cell (GGA-PBE, Alexandria)

Atomic structure:
a b c (Å): 7.5848 4.3740 11.8681
angles (deg): 90.00 90.90 90.00
Space group C2/m (No. 12)
Symmetry-distinct sites (fractional):
1 Pm 0.0054 0.0000 0.2064 [4 per cell]
2 Cd 0.1654 0.5000 0.9553 [4 per cell]
3 Br 0.1757 0.5000 0.3491 [4 per cell]

The 10 most intense peaks (2θ = 10–80°), low angle first:
| d [Å] | Rel. int. |
| --- | --- |
| 3.218 | 44 |
| 3.182 | 100 |
| 2.759 | 26 |
| 2.747 | 14 |
| 2.726 | 42 |
| 2.188 | 73 |
| 2.018 | 31 |
| 1.998 | 14 |
| 1.809 | 16 |
| 1.714 | 12 |


Record 3
Computed XRD peak list
Compound: Ho4GeBiSe2
Radiation: Cu Kα (weighted mean of Kα1 and Kα2)
Structure: a DFT-relaxed cell (GGA-PBE, Alexandria)

Atomic structure:
a b c (Å): 7.2155 4.1931 7.3318
angles (deg): 90.00 109.50 90.00
Space group P2/m (No. 10)
Symmetry-distinct sites (fractional):
1 Ho 0.2431 0.0000 0.2335 [2 per cell]
2 Ho 0.2529 0.5000 0.7686 [2 per cell]
3 Ge 0.0000 0.5000 0.0000 [1 per cell]
4 Bi 0.0000 0.0000 0.5000 [1 per cell]
5 Se 0.5000 0.0000 0.0000 [1 per cell]
6 Se 0.5000 0.5000 0.5000 [1 per cell]

The 10 most intense peaks (2θ = 10–80°), low angle first:
| d [Å] | Rel. int. |
| --- | --- |
| 2.968 | 100 |
| 2.111 | 25 |
| 2.098 | 25 |
| 2.086 | 25 |
| 1.713 | 13 |
| 1.700 | 7 |
| 1.484 | 12 |
| 1.334 | 11 |
| 1.327 | 11 |
| 1.321 | 11 |